Structure and theoretical powder diffractogram of KCuPdSe3 (a cell relaxed with GGA-PBE; copper Kα).
Intensities are scaled so that the largest is 100.

Main lines, by intensity (2θ from 10° to 80°):
- 46.04°, I = 100.0
- 16.91°, I = 94.6
- 31.04°, I = 86.8
- 34.24°, I = 85.4
- 45.79°, I = 83.8
- 30.83°, I = 65.4
- 32.02°, I = 56.1
- 21.19°, I = 51.5
- 53.19°, I = 48.0
- 26.28°, I = 37.5

```
data_KCuPdSe3
_symmetry_space_group_name_H-M 'P n m a'
_symmetry_Int_Tables_number 62
_cell_length_a 13.9661
_cell_length_b 3.9649
_cell_length_c 10.4870
_cell_angle_alpha 90.00
_cell_angle_beta 90.00
_cell_angle_gamma 90.00
loop_
_symmetry_equiv_pos_as_xyz
'x,y,z'
'-x,-y,-z'
'-x+1/2,-y,z+1/2'
'x+1/2,y,-z+1/2'
'x+1/2,-y+1/2,-z+1/2'
'-x+1/2,y+1/2,z+1/2'
'-x,y+1/2,-z'
'x,-y+1/2,z'
loop_
_atom_site_label
_atom_site_type_symbol
_atom_site_fract_x
_atom_site_fract_y
_atom_site_fract_z
K1 K 0.1195 0.2500 0.0344
Cu1 Cu 0.1691 0.7500 0.3153
Pd1 Pd 0.0868 0.7500 0.7035
Se1 Se 0.0122 0.7500 0.2269
Se2 Se 0.1896 0.2500 0.6509
Se3 Se 0.2267 0.2500 0.4166
```

***

Structure and theoretical powder diffractogram of KPuCuSeS2 (a cell relaxed with GGA-PBE; copper Kα).
Intensities are scaled so that the largest is 100.

Main lines, by intensity (2θ from 10° to 80°):
- 12.28°, I = 100.0
- 31.08°, I = 28.7
- 36.05°, I = 19.2
- 24.95°, I = 18.1
- 31.74°, I = 18.0
- 29.39°, I = 15.6
- 45.32°, I = 15.4
- 50.35°, I = 11.9
- 24.34°, I = 11.1
- 22.33°, I = 10.4

```
data_KPuCuSeS2
_symmetry_space_group_name_H-M 'P 1 21/m 1'
_symmetry_Int_Tables_number 11
_cell_length_a 8.3783
_cell_length_b 3.9919
_cell_length_c 9.5940
_cell_angle_alpha 90.00
_cell_angle_beta 108.11
_cell_angle_gamma 90.00
loop_
_symmetry_equiv_pos_as_xyz
'x,y,z'
'-x,-y,-z'
'-x,y+1/2,-z'
'x,-y+1/2,z'
loop_
_atom_site_label
_atom_site_type_symbol
_atom_site_fract_x
_atom_site_fract_y
_atom_site_fract_z
K1 K 0.2198 0.2500 0.2525
Pu1 Pu 0.3178 0.7500 0.8483
Cu1 Cu 0.0790 0.2500 0.5953
Se1 Se 0.2266 0.7500 0.5398
S1 S 0.1028 0.2500 0.8446
S2 S 0.4584 0.7500 0.1425
```